1.
The following is a theoretical X-ray powder pattern of Nb2FeNi3. It was derived from DFT lattice parameters and positions (PBE), using Cu Kα (λ = 1.5418 Å).

Peak list (10 most intense, 2θ from 10° to 80°, in order of rising 2θ)
index  d [Å]  I_rel
1 1 0  2.412  41.2
1 0 3  2.218  83.2
2 0 0  2.089  14.2
1 1 2  2.055  100.0
2 0 1  2.019  75.5
0 0 4  1.963  13.9
2 1 3  1.352  30.6
3 0 2  1.313  21.5
2 0 5  1.255  28.5
2 2 0  1.206  23.5

Atomic structure:
a = 4.8244 Å, b = 4.8244 Å, c = 7.8520 Å
α = 90.00°, β = 90.00°, γ = 120.00°
Space group P6_3/mmc (No. 194)
Symmetry-distinct sites (fractional):
Nb 0.3333 0.6667 0.0621 [4 per cell]
Fe 0.0000 0.0000 0.0000 [2 per cell]
Ni 0.1685 0.3369 0.7500 [6 per cell]

2.
The following is a theoretical X-ray powder pattern of NbFeNi6. It was derived from DFT lattice parameters and positions (PBE), using Cu Kα (λ = 1.5418 Å).

Peak list (8 most intense, 2θ from 10° to 80°, in order of rising 2θ)
index  d [Å]  I_rel
1 1 0  5.908  0.5
2 0 0  3.618  0.7
2 2 1  2.838  0.5
2 2 2  2.558  0.5
3 1 0  2.347  0.5
2 4 0  2.089  100.0
4 0 0  1.809  46.7
0 8 0  1.279  27.0

Atomic structure:
a = 7.233 Å, b = 10.241 Å, c = 10.229 Å
α = 90.00°, β = 90.00°, γ = 90.00°
Space group Cmmm (No. 65)
Symmetry-distinct sites (fractional):
Nb 0.000 0.000 0.245 [4 per cell]
Nb 0.000 0.246 0.500 [4 per cell]
Fe 0.000 0.246 0.000 [4 per cell]
Fe 0.000 0.500 0.244 [4 per cell]
Ni 0.000 0.000 0.000 [2 per cell]
Ni 0.000 0.000 0.500 [2 per cell]
Ni 0.000 0.252 0.247 [8 per cell]
Ni 0.000 0.500 0.000 [2 per cell]
Ni 0.000 0.500 0.500 [2 per cell]
Ni 0.246 0.374 0.123 [16 per cell]
Ni 0.246 0.376 0.373 [16 per cell]